PbC4O4: theoretical powder diffractogram (copper Kα), based on a cell relaxed with GGA-PBE.
No peak broadening, texture or thermal motion is included.

Atomic structure:
```
data_PbC4O4
_chemical_formula_sum 'Pb4 C16 O16'
_cell_length_a 7.4610
_cell_length_b 7.4610
_cell_length_c 10.4307
_cell_angle_alpha 90.00
_cell_angle_beta 90.00
_cell_angle_gamma 90.00
_space_group_name_H-M_alt 'I 41/a m d'
_space_group_IT_number 141
loop_
_space_group_symop_operation_xyz
'x,y,z'
'-x,-y,-z'
'-y+1/4,x+3/4,z+1/4'
'y+1/4,-x+3/4,-z+1/4'
'-x+1/2,-y,z+1/2'
'x+1/2,y,-z+1/2'
'y+1/4,-x+1/4,z+3/4'
'-y+1/4,x+1/4,-z+3/4'
'x,-y,-z'
'-x,y,z'
'-y+1/4,-x+1/4,-z+3/4'
'y+1/4,x+1/4,z+3/4'
'-x+1/2,y,-z+1/2'
'x+1/2,-y,z+1/2'
'y+1/4,x+3/4,-z+1/4'
'-y+1/4,-x+3/4,z+1/4'
'x+1/2,y+1/2,z+1/2'
'-x+1/2,-y+1/2,-z+1/2'
'-y+3/4,x+1/4,z+3/4'
'y+3/4,-x+1/4,-z+3/4'
'-x,-y+1/2,z'
'x,y+1/2,-z'
'y+3/4,-x+3/4,z+1/4'
'-y+3/4,x+3/4,-z+1/4'
'x+1/2,-y+1/2,-z+1/2'
'-x+1/2,y+1/2,z+1/2'
'-y+3/4,-x+3/4,-z+1/4'
'y+3/4,x+3/4,z+1/4'
'-x,y+1/2,-z'
'x,-y+1/2,z'
'y+3/4,x+1/4,-z+3/4'
'-y+3/4,-x+1/4,z+3/4'
loop_
_atom_site_label
_atom_site_type_symbol
_atom_site_fract_x
_atom_site_fract_y
_atom_site_fract_z
Pb1 Pb 0.0000 0.2500 0.3750
C1 C 0.0000 0.2500 0.0720
C2 C 0.0000 0.2500 0.8166
O1 O 0.0000 0.1003 0.6195
```

Peak list (6 most intense, 10° ≤ 2θ ≤ 90°, sorted by position)
d (Å)	2theta	I (rel.)	index
6.068	14.60	100	1 0 1
3.731	23.85	73	2 0 0
3.709	23.99	47	1 1 2
3.178	28.08	26	2 1 1
3.152	28.32	30	1 0 3
2.150	42.03	40	3 1 2


LiCe3Sm3Se8: theoretical powder diffractogram (copper Kα), based on a cell relaxed with GGA-PBE.
No peak broadening, texture or thermal motion is included.

Atomic structure:
```
data_LiCe3Sm3Se8
_chemical_formula_sum 'Li3 Ce9 Sm9 Se24'
_cell_length_a 8.3110
_cell_length_b 8.3110
_cell_length_c 20.4228
_cell_angle_alpha 90.00
_cell_angle_beta 90.00
_cell_angle_gamma 120.00
_space_group_name_H-M_alt 'R -3 m'
_space_group_IT_number 166
_space_group_name_Hall '-R 3 2"'
loop_
_atom_site_label
_atom_site_type_symbol
_atom_site_fract_x
_atom_site_fract_y
_atom_site_fract_z
Li1 Li 0.0000 0.0000 0.0000
Ce1 Ce 0.0000 0.5000 0.0000
Sm1 Sm 0.0000 0.5000 0.5000
Se1 Se 0.0000 0.0000 0.2488
Se2 Se 0.0069 0.5034 0.7487
```

Peak list (6 most intense, 10° ≤ 2θ ≤ 90°, sorted by position)
d (Å)	2theta	I (rel.)	index
5.883	15.06	19	0 1 2
4.160	21.36	17	1 0 4
2.942	30.39	100	0 2 4
2.080	43.51	74	2 2 0
1.697	54.04	19	4 0 4
1.200	79.93	19	6 0 0


TmB2Cl8: theoretical powder diffractogram (copper Kα), based on a cell relaxed with GGA-PBE.
No peak broadening, texture or thermal motion is included.

Atomic structure:
```
data_TmB2Cl8
_chemical_formula_sum 'Tm2 B4 Cl16'
_cell_length_a 11.9993
_cell_length_b 9.7798
_cell_length_c 5.8881
_cell_angle_alpha 90.00
_cell_angle_beta 99.44
_cell_angle_gamma 90.00
_space_group_name_H-M_alt 'C 1 2/m 1'
_space_group_IT_number 12
_space_group_name_Hall '-C 2y'
loop_
_atom_site_label
_atom_site_type_symbol
_atom_site_fract_x
_atom_site_fract_y
_atom_site_fract_z
Tm1 Tm 0.0000 0.0000 0.0000
B1 B 0.1993 0.0000 0.6543
Cl1 Cl 0.1195 0.1526 0.7460
Cl2 Cl 0.1542 0.5000 0.2228
Cl3 Cl 0.1881 0.0000 0.3213
```

Peak list (6 most intense, 10° ≤ 2θ ≤ 90°, sorted by position)
d (Å)	2theta	I (rel.)	index
7.539	11.74	100	1 1 0
4.890	18.14	32	0 2 0
4.385	20.25	27	1 1 1
3.326	26.81	40	2 2 -1
2.903	30.80	22	3 1 1
2.152	41.98	14	2 4 -1


SmAgPt4: theoretical powder diffractogram (copper Kα), based on a cell relaxed with GGA-PBE.
No peak broadening, texture or thermal motion is included.

Atomic structure:
```
data_SmAgPt4
_chemical_formula_sum 'Sm4 Ag4 Pt16'
_cell_length_a 7.6197
_cell_length_b 7.6197
_cell_length_c 7.6197
_cell_angle_alpha 90.00
_cell_angle_beta 90.00
_cell_angle_gamma 90.00
_space_group_name_H-M_alt 'F -4 3 m'
_space_group_IT_number 216
_space_group_name_Hall 'F -4 2 3'
loop_
_atom_site_label
_atom_site_type_symbol
_atom_site_fract_x
_atom_site_fract_y
_atom_site_fract_z
Sm1 Sm 0.0000 0.0000 0.0000
Ag1 Ag 0.2500 0.2500 0.2500
Pt1 Pt 0.1245 0.1245 0.6245
```

Peak list (6 most intense, 10° ≤ 2θ ≤ 90°, sorted by position)
d (Å)	2theta	I (rel.)	index
4.399	20.19	21	1 1 1
2.297	39.21	100	3 1 1
2.200	41.03	54	2 2 2
1.466	63.43	33	5 1 1
1.347	69.83	30	4 4 0
1.149	84.31	21	6 2 2


Tl2PS5: theoretical powder diffractogram (copper Kα), based on a cell relaxed with GGA-PBE.
No peak broadening, texture or thermal motion is included.

Atomic structure:
```
data_Tl2PS5
_chemical_formula_sum 'Tl2 P1 S5'
_cell_length_a 6.6570
_cell_length_b 6.7083
_cell_length_c 6.9176
_cell_angle_alpha 61.03
_cell_angle_beta 69.15
_cell_angle_gamma 88.55
_space_group_name_H-M_alt 'P 1'
_space_group_IT_number 1
_space_group_name_Hall 'P 1'
loop_
_atom_site_label
_atom_site_type_symbol
_atom_site_fract_x
_atom_site_fract_y
_atom_site_fract_z
Tl1 Tl 0.0000 0.0000 0.0000
Tl2 Tl 0.3422 0.4074 0.1660
P1 P 0.0381 0.6919 0.6320
S1 S 0.3946 0.7538 0.4933
S2 S 0.4937 0.9414 0.1370
S3 S 0.9453 0.0034 0.5205
S4 S 0.9451 0.5129 0.5052
S5 S 0.9656 0.5076 0.9897
```

Peak list (6 most intense, 10° ≤ 2θ ≤ 90°, sorted by position)
d (Å)	2theta	I (rel.)	index
6.119	14.47	85	1 0 0
5.565	15.92	100	0 0 1
4.744	18.70	69	1 1 1
4.636	19.14	66	1 -1 0
3.399	26.22	63	1 1 2
3.353	26.59	82	0 2 1


SmYCl: theoretical powder diffractogram (copper Kα), based on a cell relaxed with GGA-PBE.
No peak broadening, texture or thermal motion is included.

Atomic structure:
```
data_SmYCl
_chemical_formula_sum 'Sm1 Y1 Cl1'
_cell_length_a 3.7205
_cell_length_b 3.7205
_cell_length_c 7.0764
_cell_angle_alpha 90.00
_cell_angle_beta 90.00
_cell_angle_gamma 120.00
_space_group_name_H-M_alt 'P 3 m 1'
_space_group_IT_number 156
_space_group_name_Hall 'P 3 -2"'
loop_
_atom_site_label
_atom_site_type_symbol
_atom_site_fract_x
_atom_site_fract_y
_atom_site_fract_z
Sm1 Sm 0.0000 0.0000 0.0000
Y1 Y 0.6667 0.3333 0.3845
Cl1 Cl 0.3333 0.6667 0.6812
```

Peak list (6 most intense, 10° ≤ 2θ ≤ 90°, sorted by position)
d (Å)	2theta	I (rel.)	index
2.932	30.48	100	1 0 1
2.382	37.76	45	0 1 2
1.860	48.97	22	1 1 0
1.571	58.78	15	0 2 1
1.551	59.62	14	1 0 4
1.461	63.71	16	1 1 3


Tb3GaPt12: theoretical powder diffractogram (copper Kα), based on a cell relaxed with GGA-PBE.
No peak broadening, texture or thermal motion is included.

Atomic structure:
```
data_Tb3GaPt12
_chemical_formula_sum 'Tb3 Ga1 Pt12'
_cell_length_a 4.1059
_cell_length_b 4.1059
_cell_length_c 16.2000
_cell_angle_alpha 90.00
_cell_angle_beta 90.00
_cell_angle_gamma 90.00
_space_group_name_H-M_alt 'P 4/m m m'
_space_group_IT_number 123
_space_group_name_Hall '-P 4 2'
loop_
_atom_site_label
_atom_site_type_symbol
_atom_site_fract_x
_atom_site_fract_y
_atom_site_fract_z
Tb1 Tb 0.0000 0.0000 0.0000
Tb2 Tb 0.0000 0.0000 0.2553
Ga1 Ga 0.0000 0.0000 0.5000
Pt1 Pt 0.0000 0.5000 0.1282
Pt2 Pt 0.0000 0.5000 0.3860
Pt3 Pt 0.5000 0.5000 0.0000
Pt4 Pt 0.5000 0.5000 0.2576
Pt5 Pt 0.5000 0.5000 0.5000
```

Peak list (6 most intense, 10° ≤ 2θ ≤ 90°, sorted by position)
d (Å)	2theta	I (rel.)	index
2.360	38.14	100	1 1 4
2.053	44.11	34	2 0 0
2.025	44.75	15	0 0 8
1.452	64.15	11	2 2 0
1.442	64.65	20	2 0 8
1.236	77.15	26	3 1 4


Cs3Cd2F9: theoretical powder diffractogram (copper Kα), based on a cell relaxed with GGA-PBE.
No peak broadening, texture or thermal motion is included.

Atomic structure:
```
data_Cs3Cd2F9
_chemical_formula_sum 'Cs3 Cd2 F9'
_cell_length_a 6.4460
_cell_length_b 6.4460
_cell_length_c 8.2249
_cell_angle_alpha 90.00
_cell_angle_beta 90.00
_cell_angle_gamma 120.00
_space_group_name_H-M_alt 'P -3 m 1'
_space_group_IT_number 164
_space_group_name_Hall '-P 3 2"'
loop_
_atom_site_label
_atom_site_type_symbol
_atom_site_fract_x
_atom_site_fract_y
_atom_site_fract_z
Cs1 Cs 0.0000 0.0000 0.0000
Cs2 Cs 0.3333 0.6667 0.3663
Cd1 Cd 0.3333 0.6667 0.8506
F1 F 0.0000 0.5000 0.0000
F2 F 0.1779 0.3559 0.6986
```

Peak list (6 most intense, 10° ≤ 2θ ≤ 90°, sorted by position)
d (Å)	2theta	I (rel.)	index
4.619	19.22	22	1 0 1
3.311	26.93	100	1 0 2
3.223	27.68	84	1 1 0
2.309	39.00	64	0 2 2
1.877	48.49	40	2 1 2
1.612	57.16	20	2 2 0


Mg5Cu3: theoretical powder diffractogram (copper Kα), based on a cell relaxed with GGA-PBE.
No peak broadening, texture or thermal motion is included.

Atomic structure:
```
data_Mg5Cu3
_chemical_formula_sum 'Mg5 Cu3'
_cell_length_a 3.2208
_cell_length_b 3.2208
_cell_length_c 13.2853
_cell_angle_alpha 90.00
_cell_angle_beta 90.00
_cell_angle_gamma 90.00
_space_group_name_H-M_alt 'P 4/m m m'
_space_group_IT_number 123
_space_group_name_Hall '-P 4 2'
loop_
_atom_site_label
_atom_site_type_symbol
_atom_site_fract_x
_atom_site_fract_y
_atom_site_fract_z
Mg1 Mg 0.0000 0.0000 0.0000
Mg2 Mg 0.0000 0.0000 0.2267
Mg3 Mg 0.5000 0.5000 0.3876
Cu1 Cu 0.0000 0.0000 0.5000
Cu2 Cu 0.5000 0.5000 0.1139
```

Peak list (6 most intense, 10° ≤ 2θ ≤ 90°, sorted by position)
d (Å)	2theta	I (rel.)	index
6.643	13.33	18	0 0 2
4.428	20.05	17	0 0 3
3.130	28.52	23	1 0 1
2.312	38.95	100	1 0 4
2.277	39.57	53	1 1 0
1.321	71.38	30	2 1 4


NdGe2Rh4: theoretical powder diffractogram (copper Kα), based on a cell relaxed with GGA-PBE.
No peak broadening, texture or thermal motion is included.

Atomic structure:
```
data_NdGe2Rh4
_chemical_formula_sum 'Nd4 Ge8 Rh16'
_cell_length_a 17.0140
_cell_length_b 4.1776
_cell_length_c 6.5935
_cell_angle_alpha 90.00
_cell_angle_beta 90.00
_cell_angle_gamma 90.00
_space_group_name_H-M_alt 'P n m a'
_space_group_IT_number 62
_space_group_name_Hall '-P 2ac 2n'
loop_
_atom_site_label
_atom_site_type_symbol
_atom_site_fract_x
_atom_site_fract_y
_atom_site_fract_z
Nd1 Nd 0.1379 0.2500 0.0036
Ge1 Ge 0.0385 0.7500 0.2659
Ge2 Ge 0.2175 0.2500 0.5237
Rh1 Rh 0.0305 0.7500 0.8569
Rh2 Rh 0.0739 0.2500 0.4940
Rh3 Rh 0.1856 0.7500 0.3139
Rh4 Rh 0.1937 0.7500 0.7278
```

Peak list (6 most intense, 10° ≤ 2θ ≤ 90°, sorted by position)
d (Å)	2theta	I (rel.)	index
2.476	36.28	100	2 1 2
2.450	36.69	56	5 1 1
2.346	38.37	30	6 1 0
2.281	39.52	29	7 0 1
2.089	43.32	45	0 2 0
1.356	69.32	18	9 1 3


La4Tm: theoretical powder diffractogram (copper Kα), based on a cell relaxed with GGA-PBE.
No peak broadening, texture or thermal motion is included.

Atomic structure:
```
data_La4Tm
_chemical_formula_sum 'La8 Tm2'
_cell_length_a 3.7115
_cell_length_b 3.7115
_cell_length_c 25.7047
_cell_angle_alpha 90.00
_cell_angle_beta 90.00
_cell_angle_gamma 90.00
_space_group_name_H-M_alt 'I 4/m m m'
_space_group_IT_number 139
_space_group_name_Hall '-I 4 2'
loop_
_atom_site_label
_atom_site_type_symbol
_atom_site_fract_x
_atom_site_fract_y
_atom_site_fract_z
La1 La 0.0000 0.0000 0.0963
La2 La 0.0000 0.0000 0.3023
Tm1 Tm 0.0000 0.0000 0.5000
```

Peak list (6 most intense, 10° ≤ 2θ ≤ 90°, sorted by position)
d (Å)	2theta	I (rel.)	index
3.009	29.69	100	1 0 5
2.624	34.16	35	1 1 0
2.570	34.90	16	0 0 10
1.836	49.64	24	1 1 10
1.580	58.43	29	2 1 5
1.556	59.41	13	1 0 15